[1]
Diffraction record for CaPrSi4. The powder X-ray diffraction pattern is calculated, not measured: it uses a cell relaxed with GGA-PBE and copper Kα.
No peak broadening, texture or thermal motion is included.

Crystal structure
a = 4.3381 Å, b = 4.3381 Å, c = 13.4198 Å
α = 90.00°, β = 90.00°, γ = 90.00°
Space group I-4m2 (No. 119)
Symmetry-distinct sites (fractional):
Ca 0.0000 0.0000 0.0000 x2
Pr 0.0000 0.5000 0.2500 x2
Si 0.0000 0.0000 0.4136 x4
Si 0.0000 0.5000 0.6639 x4

Top 10 peaks for 2θ = 15–90°, in order of rising 2θ:
2θ/deg  d_spacing  intensity  index
21.53  4.128  388  1 0 1
28.67  3.114  546  1 0 3
32.08  2.790  1000  1 1 2
39.48  2.282  459  1 0 5
41.64  2.169  376  2 0 0
51.33  1.780  213  2 1 3
52.16  1.754  186  1 0 7
58.72  1.572  280  2 1 5
68.85  1.364  160  2 1 7
70.00  1.344  198  3 1 2

***

[2]
Diffraction record for CaPrZnSi. The powder X-ray diffraction pattern is calculated, not measured: it uses a cell relaxed with GGA-PBE and copper Kα.
No peak broadening, texture or thermal motion is included.

Crystal structure
a = 7.2894 Å, b = 7.2894 Å, c = 7.2894 Å
α = 90.00°, β = 90.00°, γ = 90.00°
Space group F-43m (No. 216)
Symmetry-distinct sites (fractional):
Ca 0.0000 0.0000 0.0000 x4
Pr 0.0000 0.0000 0.5000 x4
Zn 0.2500 0.2500 0.2500 x4
Si 0.2500 0.2500 0.7500 x4

Top 10 peaks for 2θ = 15–90°, in order of rising 2θ:
2θ/deg  d_spacing  intensity  index
21.11  4.209  331  1 1 1
24.42  3.645  108  2 0 0
34.81  2.577  1000  2 2 0
41.07  2.198  187  3 1 1
50.05  1.822  173  4 0 0
54.90  1.672  82  3 3 1
62.41  1.488  349  4 2 2
66.67  1.403  61  5 1 1
73.49  1.289  106  4 4 0
83.96  1.153  149  6 2 0

***

[3]
Diffraction record for Ca2PrZn2Si2. The powder X-ray diffraction pattern is calculated, not measured: it uses a cell relaxed with GGA-PBE and copper Kα.
No peak broadening, texture or thermal motion is included.

Crystal structure
a = 4.1787 Å, b = 4.1787 Å, c = 35.2950 Å
α = 90.00°, β = 90.00°, γ = 120.00°
Space group R-3m (No. 166, hexagonal axes)
Symmetry-distinct sites (fractional):
Ca 0.0000 0.0000 0.1190 x6
Pr 0.0000 0.0000 0.0000 x3
Zn 0.0000 0.0000 0.3938 x6
Si 0.0000 0.0000 0.2736 x6

Top 10 peaks for 2θ = 15–90°, in order of rising 2θ:
2θ/deg  d_spacing  intensity  index
25.12  3.545  268  0 1 2
27.70  3.220  395  0 1 5
30.40  2.940  617  1 0 7
31.99  2.798  1000  0 1 8
35.53  2.527  631  1 0 10
43.31  2.089  716  1 1 0
44.02  2.057  233  1 1 3
54.84  1.674  205  2 0 8
59.13  1.562  324  1 1 15
65.26  1.430  300  1 1 18

***

[4]
Diffraction record for CaPr2Sm2. The powder X-ray diffraction pattern is calculated, not measured: it uses a cell relaxed with GGA-PBE and copper Kα.
No peak broadening, texture or thermal motion is included.

Crystal structure
a = 3.6947 Å, b = 3.6947 Å, c = 45.7888 Å
α = 90.00°, β = 90.00°, γ = 120.00°
Space group R-3m (No. 166, hexagonal axes)
Symmetry-distinct sites (fractional):
Ca 0.0000 0.0000 0.0000 x3
Pr 0.0000 0.0000 0.4039 x6
Sm 0.0000 0.0000 0.1991 x6

Top 10 peaks for 2θ = 15–90°, in order of rising 2θ:
2θ/deg  d_spacing  intensity  index
29.26  3.053  324  0 0 15
29.57  3.021  1000  0 1 5
34.19  2.623  666  1 0 10
48.92  1.862  221  0 1 20
49.33  1.847  242  1 1 0
58.02  1.590  124  1 0 25
58.39  1.580  273  1 1 15
58.57  1.576  143  2 0 5
61.39  1.510  121  0 2 10
80.03  1.199  115  1 2 5

***

[5]
Diffraction record for CaPrSm. The powder X-ray diffraction pattern is calculated, not measured: it uses a cell relaxed with GGA-PBE and copper Kα.
No peak broadening, texture or thermal motion is included.

Crystal structure
a = 3.6264 Å, b = 21.4262 Å, c = 5.7764 Å
α = 90.00°, β = 90.00°, γ = 90.00°
Space group Cmcm (No. 63)
Symmetry-distinct sites (fractional):
Ca 0.0000 0.2055 0.2500 x4
Pr 0.0000 0.0390 0.2500 x4
Sm 0.0000 0.3883 0.2500 x4

Top 10 peaks for 2θ = 15–90°, in order of rising 2θ:
2θ/deg  d_spacing  intensity  index
27.59  3.233  165  1 3 0
29.40  3.039  1000  0 6 1
30.96  2.888  308  0 0 2
31.71  2.822  394  1 3 1
32.34  2.768  260  1 5 0
37.00  2.430  125  0 8 1
45.38  1.999  200  1 5 2
54.11  1.695  176  0 6 3
55.89  1.645  131  1 11 1
59.36  1.557  167  2 6 1

***

[6]
Diffraction record for CaPr12Sm3. The powder X-ray diffraction pattern is calculated, not measured: it uses a cell relaxed with GGA-PBE and copper Kα.
No peak broadening, texture or thermal motion is included.

Crystal structure
a = 5.2450 Å, b = 5.2450 Å, c = 20.9397 Å
α = 90.00°, β = 90.00°, γ = 90.00°
Space group P4/mmm (No. 123)
Symmetry-distinct sites (fractional):
Ca 0.0000 0.0000 0.0000 x1
Pr 0.0000 0.5000 0.1286 x4
Pr 0.0000 0.5000 0.3759 x4
Pr 0.5000 0.5000 0.0000 x1
Pr 0.5000 0.5000 0.2502 x2
Pr 0.5000 0.5000 0.5000 x1
Sm 0.0000 0.0000 0.2506 x2
Sm 0.0000 0.0000 0.5000 x1

Top 10 peaks for 2θ = 15–90°, in order of rising 2θ:
2θ/deg  d_spacing  intensity  index
29.52  3.026  1000  1 1 4
34.21  2.621  507  2 0 0
49.16  1.853  363  2 2 0
58.39  1.580  432  3 1 4
61.26  1.513  124  2 2 8
72.02  1.311  39  4 0 0
72.18  1.309  19  0 0 16
79.75  1.203  173  3 3 4
82.21  1.173  108  4 2 0
82.35  1.171  53  2 0 16

***

[7]
Diffraction record for CaPr3Sm3Te8. The powder X-ray diffraction pattern is calculated, not measured: it uses a cell relaxed with GGA-PBE and copper Kα.
No peak broadening, texture or thermal motion is included.

Crystal structure
a = 8.9449 Å, b = 8.9449 Å, c = 22.0158 Å
α = 90.00°, β = 90.00°, γ = 120.00°
Space group R-3m (No. 166, hexagonal axes)
Symmetry-distinct sites (fractional):
Ca 0.0000 0.0000 0.0000 x3
Pr 0.0000 0.5000 0.5000 x9
Sm 0.0000 0.5000 0.0000 x9
Te 0.0000 0.0000 0.2522 x6
Te 0.0069 0.5034 0.2506 x18

Top 10 peaks for 2θ = 15–90°, in order of rising 2θ:
2θ/deg  d_spacing  intensity  index
19.82  4.480  79  1 0 4
28.17  3.168  1000  0 2 4
40.20  2.243  382  2 0 8
40.33  2.236  378  2 2 0
49.69  1.835  69  0 0 12
49.92  1.827  203  4 0 4
58.26  1.584  127  0 4 8
65.85  1.418  175  2 2 12
66.04  1.415  173  2 4 4
73.27  1.292  191  6 0 0

***

[8]
Diffraction record for CaPr6SmTm2. The powder X-ray diffraction pattern is calculated, not measured: it uses a cell relaxed with GGA-PBE and copper Kα.
No peak broadening, texture or thermal motion is included.

Crystal structure
a = 9.4060 Å, b = 15.5038 Å, c = 9.8236 Å
α = 90.00°, β = 96.75°, γ = 90.00°
Space group C2/c (No. 15)
Symmetry-distinct sites (fractional):
Ca 0.0000 0.0287 0.2500 x4
Pr 0.0631 0.1825 0.9464 x8
Pr 0.0996 0.3938 0.1195 x8
Pr 0.2156 0.2313 0.3199 x8
Sm 0.0000 0.4075 0.7500 x4
Tm 0.2505 0.0519 0.5468 x8

Top 10 peaks for 2θ = 15–90°, in order of rising 2θ:
2θ/deg  d_spacing  intensity  index
27.65  3.226  351  1 3 2
29.64  3.014  689  3 1 -1
29.79  2.999  495  0 2 3
29.96  2.983  228  2 4 0
30.32  2.948  1000  2 2 2
30.68  2.914  371  2 4 -1
31.42  2.847  256  1 5 -1
32.09  2.789  161  1 5 1
33.00  2.714  603  1 3 -3
36.48  2.463  283  3 1 2